# Re2RhW
Simulated powder diffractogram, copper Kα. Input: a structure optimized by DFT (PBE).
Kinematic intensities with the Lorentz-polarization factor, no thermal factor.

Cell and atoms:
```
Re2RhW
1.0
-1.954 1.954 3.945
1.954 -1.954 3.945
1.954 1.954 -3.945
Re Rh W
2 1 1
direct
0.250 0.750 0.500 Re
0.750 0.250 0.500 Re
0.000 0.000 0.000 Rh
0.500 0.500 0.000 W
```

Principal peaks in the range 2θ from 10° to 80°, in order of falling intensity:
39.8°, rel. 100.0; 46.5°, rel. 32.3; 67.5°, rel. 21.3; 46.0°, rel. 16.6; 67.8°, rel. 10.5; 25.4°, rel. 4.1; 22.5°, rel. 1.5; 32.4°, rel. 1.3; 41.4°, rel. 1.2; 53.7°, rel. 1.2